Starting from a structure optimized by DFT (GGA+U), the powder X-ray diffraction pattern of Sr3MgMn2S2O5 was calculated for CuKα.

Crystal structure
Lattice parameters (Å, degrees): 14.0180 14.0180 14.0180 163.82 163.82 22.96
Positions (direct):
1 Sr 0.0000 0.0000 0.0000
2 Sr 0.1382 0.1382 0.0000
3 Sr 0.8618 0.8618 0.0000
4 Mg 0.2500 0.7500 0.5000
5 Mn 0.4281 0.4281 0.0000
6 Mn 0.5719 0.5719 0.0000
7 S 0.3062 0.3062 0.0000
8 S 0.6938 0.6938 0.0000
9 O 0.0803 0.5803 0.5000
10 O 0.4197 0.9197 0.5000
11 O 0.5000 0.5000 0.0000
12 O 0.5794 0.0794 0.5000
13 O 0.9206 0.4206 0.5000

Most intense lines, 10° ≤ 2θ ≤ 80°, in order of rising 2θ:
2θ 12.89, I = 6
2θ 32.14, I = 100
2θ 37.24, I = 7
2θ 37.75, I = 13
2θ 42.85, I = 6
2θ 46.00, I = 23
2θ 57.23, I = 26
2θ 57.40, I = 10
2θ 67.08, I = 7
2θ 67.29, I = 7